The following is a simulated powder diffractogram of Mn3NiO10. It was derived from a cell relaxed with GGA+U, using λ = 1.5418 Å (Cu Kα).

Structure:
a = 8.4381 Å, b = 8.4381 Å, c = 8.4381 Å
α = 53.90°, β = 53.90°, γ = 53.90°
Sites, in units of the cell vectors:
Mn 0.0757 0.6417 0.7826
Mn 0.2174 0.9243 0.3583
Mn 0.3583 0.2174 0.9243
Mn 0.6417 0.7826 0.0757
Mn 0.7826 0.0757 0.6417
Mn 0.9243 0.3583 0.2174
Ni 0.4094 0.4094 0.4094
Ni 0.5906 0.5906 0.5906
O 0.0698 0.9244 0.6397
O 0.0756 0.3603 0.9302
O 0.2066 0.3124 0.5232
O 0.2083 0.6481 0.5015
O 0.2108 0.2108 0.2108
O 0.3124 0.5232 0.2066
O 0.3519 0.4985 0.7917
O 0.3603 0.9302 0.0756
O 0.4768 0.7934 0.6876
O 0.4985 0.7917 0.3519
O 0.5015 0.2083 0.6481
O 0.5232 0.2066 0.3124
O 0.6397 0.0698 0.9244
O 0.6481 0.5015 0.2083
O 0.6876 0.4768 0.7934
O 0.7892 0.7892 0.7892
O 0.7917 0.3519 0.4985
O 0.7934 0.6876 0.4768
O 0.9244 0.6397 0.0698
O 0.9302 0.0756 0.3603

Principal peaks in the range 2θ = 10–90°, in order of falling intensity:
d 7.190, 12.31°, rel. 100; d 2.271, 39.69°, rel. 23; d 4.182, 21.25°, rel. 22; d 2.487, 36.12°, rel. 15; d 1.634, 56.30°, rel. 14; d 6.332, 13.99°, rel. 14